Record 1
The following is a simulated powder diffraction line list of CsSbTeH3. It was derived from a DFT-relaxed cell (PBE, Alexandria), using λ = 1.5418 Å (Cu Kα).
Lines closer than 0.1° are merged.

Top 10 peaks for 2θ = 10–90°, in order of falling intensity:
Position (°2θ), d (Å), I_rel
30.53, 2.928, 100
27.94, 3.193, 31
51.08, 1.788, 22
19.88, 4.466, 17
49.12, 1.855, 15
13.87, 6.387, 15
37.74, 2.384, 14
47.61, 1.910, 14
20.69, 4.294, 14
39.53, 2.280, 12

Crystal structure
```
CsSbTeH3
1.0
-2.280 2.384 6.387
2.280 -2.384 6.387
2.280 2.384 -6.387
Cs Sb Te H
1 1 1 3
direct
0.000 0.000 0.000
0.239 0.739 0.500
0.747 0.247 0.500
0.375 0.875 0.500
0.472 0.472 0.000
0.531 0.531 0.000
```

---

Record 2
The following is a simulated powder diffraction line list of Pr12Fe2I17. It was derived from a DFT-relaxed cell (PBE, Alexandria), using λ = 1.5418 Å (Cu Kα).
Lines closer than 0.1° are merged.

Top 10 peaks for 2θ = 10–90°, in order of falling intensity:
Position (°2θ), d (Å), I_rel
39.45, 2.284, 100
27.99, 3.188, 78
27.24, 3.274, 78
27.70, 3.221, 77
10.12, 8.743, 38
40.12, 2.248, 26
39.01, 2.309, 24
33.57, 2.669, 13
49.34, 1.847, 12
48.80, 1.866, 12

Crystal structure
```
Pr12Fe2I17
1.0
10.043 0.000 0.000
-4.961 11.025 0.000
-3.080 -2.207 11.540
Pr Fe I
12 2 17
direct
0.012 0.191 0.416
0.056 0.509 0.322
0.145 0.286 0.151
0.224 0.672 0.987
0.258 0.985 0.891
0.349 0.759 0.717
0.651 0.241 0.283
0.742 0.015 0.109
0.776 0.328 0.013
0.855 0.714 0.849
0.944 0.491 0.678
0.988 0.809 0.584
0.104 0.738 0.786
0.896 0.262 0.214
0.000 0.000 0.000
0.055 0.369 0.898
0.156 0.104 0.674
0.216 0.472 0.581
0.242 0.814 0.462
0.327 0.214 0.368
0.356 0.580 0.239
0.412 0.948 0.155
0.450 0.290 0.047
0.550 0.710 0.953
0.588 0.052 0.845
0.644 0.420 0.761
0.673 0.786 0.632
0.758 0.186 0.538
0.784 0.528 0.419
0.844 0.896 0.326
0.945 0.631 0.102
```

---

Record 3
The following is a simulated powder diffraction line list of SmGe2Rh. It was derived from a DFT-relaxed cell (PBE, Alexandria), using λ = 1.5418 Å (Cu Kα).
Lines closer than 0.1° are merged.

Top 10 peaks for 2θ = 10–90°, in order of falling intensity:
Position (°2θ), d (Å), I_rel
33.18, 2.700, 100
34.60, 2.592, 79
41.70, 2.166, 48
38.95, 2.312, 34
38.18, 2.357, 27
40.13, 2.247, 23
68.53, 1.369, 21
58.38, 1.581, 21
34.24, 2.619, 17
48.67, 1.871, 16

Crystal structure
```
SmGe2Rh
1.0
-2.166 4.494 8.089
2.166 -4.494 8.089
2.166 4.494 -8.089
Sm Ge Rh
4 8 4
direct
0.206 0.206 0.000
0.238 0.000 0.238
0.762 0.000 0.762
0.794 0.794 0.000
0.077 0.577 0.500
0.148 0.802 0.347
0.421 0.421 0.000
0.455 0.802 0.653
0.545 0.198 0.347
0.579 0.579 0.000
0.852 0.198 0.653
0.923 0.423 0.500
0.105 0.353 0.752
0.398 0.647 0.752
0.602 0.353 0.248
0.895 0.647 0.248
```

---

Record 4
The following is a simulated powder diffraction line list of TlP2IrO. It was derived from a DFT-relaxed cell (PBE, Alexandria), using λ = 1.5418 Å (Cu Kα).
Lines closer than 0.1° are merged.

Top 10 peaks for 2θ = 10–90°, in order of falling intensity:
Position (°2θ), d (Å), I_rel
29.95, 2.984, 100
25.39, 3.507, 64
47.68, 1.907, 57
36.22, 2.480, 48
62.23, 1.492, 20
52.16, 1.754, 17
73.34, 1.291, 17
55.77, 1.648, 15
61.32, 1.512, 14
58.88, 1.569, 13

Crystal structure
```
TlP2IrO
1.0
4.960 0.000 0.000
0.000 4.960 0.000
0.000 0.000 3.735
Tl P Ir O
1 2 1 1
direct
0.000 0.000 0.000
0.000 0.500 0.500
0.500 0.000 0.500
0.500 0.500 0.500
0.500 0.500 0.000
```

---

Record 5
The following is a simulated powder diffraction line list of BaSrHg6. It was derived from a DFT-relaxed cell (PBE, Alexandria), using λ = 1.5418 Å (Cu Kα).
Lines closer than 0.1° are merged.

Top 10 peaks for 2θ = 10–90°, in order of falling intensity:
Position (°2θ), d (Å), I_rel
33.41, 2.682, 100
28.90, 3.089, 24
62.45, 1.487, 24
33.16, 2.702, 24
59.40, 1.556, 20
44.55, 2.034, 15
51.26, 1.782, 12
14.34, 6.178, 9
85.06, 1.140, 8
62.32, 1.490, 7

Crystal structure
```
BaSrHg6
1.0
5.404 0.000 0.000
0.000 3.572 6.169
0.000 -3.572 6.169
Ba Sr Hg
1 1 6
direct
0.000 0.000 0.000
0.500 0.669 0.669
0.000 0.020 0.490
0.000 0.490 0.020
0.000 0.493 0.493
0.500 0.182 0.182
0.500 0.184 0.638
0.500 0.638 0.184
```

---

Record 6
The following is a simulated powder diffraction line list of MgZr7. It was derived from a DFT-relaxed cell (PBE, Alexandria), using λ = 1.5418 Å (Cu Kα).
Lines closer than 0.1° are merged.

Top 10 peaks for 2θ = 10–90°, in order of falling intensity:
Position (°2θ), d (Å), I_rel
34.42, 2.606, 100
39.95, 2.257, 49
69.01, 1.361, 37
57.78, 1.596, 32
72.56, 1.303, 11
17.01, 5.212, 6
86.19, 1.128, 5
32.91, 2.722, 3
19.67, 4.513, 3
27.96, 3.191, 3

Crystal structure
```
MgZr7
1.0
0.000 4.513 4.513
4.513 0.000 4.513
4.513 4.513 0.000
Mg Zr
1 7
direct
0.000 0.000 0.000
0.000 0.000 0.500
0.000 0.500 0.000
0.000 0.500 0.500
0.500 0.000 0.000
0.500 0.000 0.500
0.500 0.500 0.000
0.500 0.500 0.500
```

---

Record 7
The following is a simulated powder diffraction line list of SrTmZn17. It was derived from a DFT-relaxed cell (PBE, Alexandria), using λ = 1.5418 Å (Cu Kα).
Lines closer than 0.1° are merged.

Top 10 peaks for 2θ = 10–90°, in order of falling intensity:
Position (°2θ), d (Å), I_rel
40.06, 2.251, 100
39.76, 2.267, 61
40.91, 2.206, 48
44.96, 2.016, 40
34.25, 2.618, 37
35.49, 2.530, 25
41.14, 2.194, 22
58.37, 1.581, 21
28.23, 3.161, 20
73.95, 1.282, 20

Crystal structure
```
SrTmZn17
1.0
4.534 2.618 4.410
-4.534 2.618 4.410
0.000 -5.236 4.410
Sr Tm Zn
1 1 17
direct
0.000 0.000 0.000
0.672 0.672 0.672
0.040 0.339 0.631
0.040 0.631 0.339
0.183 0.686 0.686
0.242 0.242 0.242
0.335 0.335 0.839
0.335 0.839 0.335
0.339 0.040 0.631
0.339 0.631 0.040
0.441 0.441 0.441
0.504 0.982 0.982
0.631 0.040 0.339
0.631 0.339 0.040
0.686 0.183 0.686
0.686 0.686 0.183
0.839 0.335 0.335
0.982 0.504 0.982
0.982 0.982 0.504
```

---

Record 8
The following is a simulated powder diffraction line list of BeGa2Cu6. It was derived from a DFT-relaxed cell (PBE, Alexandria), using λ = 1.5418 Å (Cu Kα).
Lines closer than 0.1° are merged.

Top 10 peaks for 2θ = 10–90°, in order of falling intensity:
Position (°2θ), d (Å), I_rel
42.99, 2.104, 100
44.73, 2.026, 38
46.78, 1.942, 28
51.63, 1.770, 20
43.44, 2.083, 20
72.22, 1.308, 14
35.33, 2.540, 13
84.20, 1.150, 12
85.46, 1.136, 11
65.75, 1.420, 11

Crystal structure
```
BeGa2Cu6
1.0
7.509 0.000 0.000
0.000 7.511 0.000
0.000 0.000 3.883
Be Ga Cu
2 4 12
direct
0.000 0.000 0.000
0.500 0.500 0.500
0.201 0.202 0.500
0.299 0.702 0.000
0.701 0.298 0.000
0.799 0.798 0.500
0.030 0.331 0.000
0.126 0.875 0.500
0.170 0.532 0.500
0.330 0.032 0.000
0.374 0.375 0.000
0.470 0.831 0.500
0.530 0.169 0.500
0.626 0.625 0.000
0.670 0.968 0.000
0.830 0.468 0.500
0.874 0.125 0.500
0.970 0.669 0.000
```